Entry 1:
For Rb2LiPrBr6, a cell relaxed with GGA-PBE gives the theoretical PXRD pattern in this record (Cu Kα (λ = 1.5418 Å)).
Neutral-atom scattering factors, no anomalous dispersion.

Atomic structure:
Unit cell a=11.302 b=11.302 c=11.302 alpha=90.00 beta=90.00 gamma=90.00
Space group Fm-3m (No. 225)
Unique sites:
Rb 0.250 0.250 0.250 (multiplicity 8)
Li 0.000 0.000 0.000 (multiplicity 4)
Pr 0.000 0.000 0.500 (multiplicity 4)
Br 0.000 0.000 0.243 (multiplicity 24)

The 10 most intense peaks (2θ from 10° to 90°), most intense first:
2θ 31.7, 2.825 Å, intensity 100.0, hkl 4 0 0
2θ 27.3, 3.262 Å, intensity 80.6, hkl 2 2 2
2θ 45.4, 1.998 Å, intensity 71.6, hkl 4 4 0
2θ 53.8, 1.704 Å, intensity 34.0, hkl 6 2 2
2θ 75.2, 1.264 Å, intensity 31.3, hkl 8 4 0
2θ 56.4, 1.631 Å, intensity 24.7, hkl 4 4 4
2θ 83.9, 1.153 Å, intensity 23.8, hkl 8 4 4
2θ 26.2, 3.408 Å, intensity 20.4, hkl 3 1 1
2θ 13.6, 6.525 Å, intensity 20.2, hkl 1 1 1
2θ 22.2, 3.996 Å, intensity 18.1, hkl 2 2 0

Entry 2:
For Rb2LiSbBr6, a cell relaxed with GGA-PBE gives the theoretical PXRD pattern in this record (Cu Kα (λ = 1.5418 Å)).
Neutral-atom scattering factors, no anomalous dispersion.

Atomic structure:
Unit cell a=11.140 b=11.140 c=11.140 alpha=90.00 beta=90.00 gamma=90.00
Space group Fm-3m (No. 225)
Unique sites:
Rb 0.250 0.250 0.250 (multiplicity 8)
Li 0.000 0.000 0.000 (multiplicity 4)
Sb 0.000 0.000 0.500 (multiplicity 4)
Br 0.000 0.000 0.247 (multiplicity 24)

The 10 most intense peaks (2θ from 10° to 90°), most intense first:
2θ 32.1, 2.785 Å, intensity 100.0, hkl 4 0 0
2θ 27.7, 3.216 Å, intensity 91.9, hkl 2 2 2
2θ 46.1, 1.969 Å, intensity 71.4, hkl 4 4 0
2θ 54.7, 1.679 Å, intensity 39.3, hkl 6 2 2
2θ 76.5, 1.245 Å, intensity 31.6, hkl 8 4 0
2θ 57.3, 1.608 Å, intensity 24.6, hkl 4 4 4
2θ 85.4, 1.137 Å, intensity 24.2, hkl 8 4 4
2θ 13.8, 6.432 Å, intensity 18.7, hkl 1 1 1
2θ 74.2, 1.278 Å, intensity 15.9, hkl 6 6 2
2θ 26.5, 3.359 Å, intensity 14.7, hkl 3 1 1

Entry 3:
For Rb2LiTaBr6, a cell relaxed with GGA-PBE gives the theoretical PXRD pattern in this record (Cu Kα (λ = 1.5418 Å)).
Neutral-atom scattering factors, no anomalous dispersion.

Atomic structure:
Unit cell a=10.800 b=10.800 c=10.800 alpha=90.00 beta=90.00 gamma=90.00
Space group Fm-3m (No. 225)
Unique sites:
Rb 0.250 0.250 0.250 (multiplicity 8)
Li 0.000 0.000 0.000 (multiplicity 4)
Ta 0.000 0.000 0.500 (multiplicity 4)
Br 0.000 0.000 0.256 (multiplicity 24)

The 10 most intense peaks (2θ from 10° to 90°), most intense first:
2θ 33.2, 2.700 Å, intensity 100.0, hkl 4 0 0
2θ 47.6, 1.909 Å, intensity 70.9, hkl 4 4 0
2θ 28.6, 3.118 Å, intensity 64.4, hkl 2 2 2
2θ 14.2, 6.235 Å, intensity 50.8, hkl 1 1 1
2θ 79.4, 1.207 Å, intensity 31.4, hkl 8 4 0
2θ 56.5, 1.628 Å, intensity 26.1, hkl 6 2 2
2θ 27.4, 3.256 Å, intensity 25.4, hkl 3 1 1
2θ 23.3, 3.818 Å, intensity 25.2, hkl 2 2 0
2θ 88.8, 1.102 Å, intensity 24.5, hkl 8 4 4
2θ 59.3, 1.559 Å, intensity 24.3, hkl 4 4 4

Entry 4:
For Rb2LiTlBr6, a cell relaxed with GGA-PBE gives the theoretical PXRD pattern in this record (Cu Kα (λ = 1.5418 Å)).
Neutral-atom scattering factors, no anomalous dispersion.

Atomic structure:
Unit cell a=11.082 b=11.082 c=11.082 alpha=90.00 beta=90.00 gamma=90.00
Space group Fm-3m (No. 225)
Unique sites:
Rb 0.250 0.250 0.250 (multiplicity 8)
Li 0.000 0.000 0.000 (multiplicity 4)
Tl 0.000 0.000 0.500 (multiplicity 4)
Br 0.000 0.000 0.248 (multiplicity 24)

The 10 most intense peaks (2θ from 10° to 90°), most intense first:
2θ 32.3, 2.770 Å, intensity 100.0, hkl 4 0 0
2θ 46.3, 1.959 Å, intensity 71.9, hkl 4 4 0
2θ 27.9, 3.199 Å, intensity 56.3, hkl 2 2 2
2θ 13.8, 6.398 Å, intensity 45.9, hkl 1 1 1
2θ 26.7, 3.341 Å, intensity 32.6, hkl 3 1 1
2θ 77.0, 1.239 Å, intensity 32.2, hkl 8 4 0
2θ 22.7, 3.918 Å, intensity 28.7, hkl 2 2 0
2θ 16.0, 5.541 Å, intensity 27.7, hkl 2 0 0
2θ 57.6, 1.600 Å, intensity 24.9, hkl 4 4 4
2θ 85.9, 1.131 Å, intensity 24.8, hkl 8 4 4

Entry 5:
For Rb2LiYBr6, a cell relaxed with GGA-PBE gives the theoretical PXRD pattern in this record (Cu Kα (λ = 1.5418 Å)).
Neutral-atom scattering factors, no anomalous dispersion.

Atomic structure:
Unit cell a=11.101 b=11.101 c=11.101 alpha=90.00 beta=90.00 gamma=90.00
Space group Fm-3m (No. 225)
Unique sites:
Rb 0.250 0.250 0.250 (multiplicity 8)
Li 0.000 0.000 0.000 (multiplicity 4)
Y 0.000 0.000 0.500 (multiplicity 4)
Br 0.000 0.000 0.248 (multiplicity 24)

The 10 most intense peaks (2θ from 10° to 90°), most intense first:
2θ 27.8, 3.204 Å, intensity 100.0, hkl 2 2 2
2θ 32.3, 2.775 Å, intensity 90.5, hkl 4 0 0
2θ 46.3, 1.962 Å, intensity 64.4, hkl 4 4 0
2θ 54.9, 1.673 Å, intensity 43.0, hkl 6 2 2
2θ 76.8, 1.241 Å, intensity 28.4, hkl 8 4 0
2θ 57.5, 1.602 Å, intensity 22.1, hkl 4 4 4
2θ 85.8, 1.133 Å, intensity 21.8, hkl 8 4 4
2θ 74.5, 1.273 Å, intensity 17.4, hkl 6 6 2
2θ 13.8, 6.409 Å, intensity 10.4, hkl 1 1 1
2θ 67.5, 1.388 Å, intensity 10.2, hkl 8 0 0

Entry 6:
For Li2UBr6, a cell relaxed with GGA-PBE gives the theoretical PXRD pattern in this record (Cu Kα (λ = 1.5418 Å)).
Neutral-atom scattering factors, no anomalous dispersion.

Atomic structure:
Unit cell a=6.9543 b=6.9543 c=26.9682 alpha=90.00 beta=90.00 gamma=120.00
Space group P-31c (No. 163)
Unique sites:
Li 0.0000 0.0000 0.2500 (multiplicity 2)
Li 0.3333 0.6667 0.0015 (multiplicity 4)
Li 0.3333 0.6667 0.2500 (multiplicity 2)
U 0.0000 0.0000 0.0000 (multiplicity 2)
U 0.3333 0.6667 0.7500 (multiplicity 2)
Br 0.0000 0.3335 0.3077 (multiplicity 12)
Br 0.0017 0.3342 0.5577 (multiplicity 12)

The 10 most intense peaks (2θ from 10° to 90°), most intense first:
2θ 28.9, 3.090 Å, intensity 100.0, hkl 2 -1 4
2θ 37.1, 2.420 Å, intensity 54.2, hkl 2 -1 8
2θ 16.1, 5.499 Å, intensity 47.6, hkl 1 0 2
2θ 13.1, 6.742 Å, intensity 41.2, hkl 0 0 4
2θ 45.2, 2.008 Å, intensity 38.5, hkl 3 0 0
2θ 48.2, 1.887 Å, intensity 29.1, hkl 1 1 12
2θ 73.4, 1.290 Å, intensity 27.9, hkl 3 0 16
2θ 54.5, 1.684 Å, intensity 22.1, hkl 0 0 16
2θ 15.1, 5.878 Å, intensity 18.5, hkl 1 0 1
2θ 24.7, 3.602 Å, intensity 17.8, hkl 1 0 6